1.
The following is a simulated powder X-ray diffraction pattern of LiGaPd4. It was derived from a crystal structure in Alexandria, relaxed with PBE, using CuKα.

Atomic structure:
Cell: 4.578 7.917 5.078 Å, 90.00 90.00 90.00°
Element x y z (fractional)
1 Li 0.000 0.000 0.000
2 Li 0.500 0.000 0.500
3 Ga 0.000 0.500 0.500
4 Ga 0.500 0.500 0.000
5 Pd 0.000 0.170 0.418
6 Pd 0.000 0.333 0.919
7 Pd 0.000 0.667 0.081
8 Pd 0.000 0.830 0.582
9 Pd 0.500 0.170 0.082
10 Pd 0.500 0.333 0.581
11 Pd 0.500 0.667 0.419
12 Pd 0.500 0.830 0.918

Peak list (10 most intense, 2θ from 10° to 90°, sorted by position)
2theta	Rel. int.
11.18	16
28.58	42
35.35	20
39.36	42
42.28	54
43.40	100
49.39	16
73.41	19
73.61	20
74.16	20

***

2.
The following is a simulated powder X-ray diffraction pattern of La2PmPr8. It was derived from a crystal structure in Alexandria, relaxed with PBE, using CuKα.

Atomic structure:
Cell: 8.721 8.721 5.599 Å, 90.05 90.05 105.82°
Element x y z (fractional)
1 La 0.118 0.882 0.000
2 La 0.882 0.118 0.000
3 Pm 0.500 0.500 0.500
4 Pr 0.168 0.168 0.500
5 Pr 0.201 0.466 0.000
6 Pr 0.251 0.752 0.500
7 Pr 0.466 0.201 0.000
8 Pr 0.534 0.797 0.000
9 Pr 0.752 0.251 0.500
10 Pr 0.797 0.534 0.000
11 Pr 0.832 0.832 0.500

Peak list (10 most intense, 2θ from 10° to 90°, sorted by position)
2theta	Rel. int.
30.25	100
30.77	86
31.98	84
41.43	17
45.86	30
53.26	16
55.63	18
55.91	18
56.22	15
61.50	26

***

3.
The following is a simulated powder X-ray diffraction pattern of Sm5Si2Bi. It was derived from a crystal structure in Alexandria, relaxed with PBE, using CuKα.

Atomic structure:
Cell: 9.026 9.026 9.026 Å, 127.69 127.69 77.12°
Element x y z (fractional)
1 Sm 0.000 0.000 0.000
2 Sm 0.023 0.523 0.821
3 Sm 0.202 0.023 0.500
4 Sm 0.298 0.798 0.821
5 Sm 0.477 0.298 0.500
6 Sm 0.500 0.500 0.000
7 Sm 0.523 0.702 0.500
8 Sm 0.702 0.202 0.179
9 Sm 0.798 0.977 0.500
10 Sm 0.977 0.477 0.179
11 Si 0.139 0.361 0.500
12 Si 0.361 0.861 0.223
13 Si 0.639 0.139 0.777
14 Si 0.861 0.639 0.500
15 Bi 0.250 0.250 0.000
16 Bi 0.750 0.750 0.000

Peak list (10 most intense, 2θ from 10° to 90°, sorted by position)
2theta	Rel. int.
25.82	56
29.89	74
31.52	100
31.81	29
33.96	77
35.68	95
52.13	21
52.83	28
55.49	42
64.50	29

***

What did the third record say?
The following is a simulated powder X-ray diffraction pattern of Sm5Si2Bi. It was derived from a crystal structure in Alexandria, relaxed with PBE, using CuKα.

Atomic structure:
Cell: 9.026 9.026 9.026 Å, 127.69 127.69 77.12°
Element x y z (fractional)
1 Sm 0.000 0.000 0.000
2 Sm 0.023 0.523 0.821
3 Sm 0.202 0.023 0.500
4 Sm 0.298 0.798 0.821
5 Sm 0.477 0.298 0.500
6 Sm 0.500 0.500 0.000
7 Sm 0.523 0.702 0.500
8 Sm 0.702 0.202 0.179
9 Sm 0.798 0.977 0.500
10 Sm 0.977 0.477 0.179
11 Si 0.139 0.361 0.500
12 Si 0.361 0.861 0.223
13 Si 0.639 0.139 0.777
14 Si 0.861 0.639 0.500
15 Bi 0.250 0.250 0.000
16 Bi 0.750 0.750 0.000

Peak list (10 most intense, 2θ from 10° to 90°, sorted by position)
2theta	Rel. int.
25.82	56
29.89	74
31.52	100
31.81	29
33.96	77
35.68	95
52.13	21
52.83	28
55.49	42
64.50	29